Theoretical PXRD pattern of HfNiO6F6 for copper Kα, from a GGA+U-relaxed structure.
Kinematic intensities with the Lorentz-polarization factor, no thermal factor.

Peak list (12 most intense, 10° ≤ 2θ ≤ 80°, by intensity)
- 20.6°, rel. 100.0
- 22.1°, rel. 90.0
- 37.0°, rel. 50.6
- 15.1°, rel. 34.0
- 50.1°, rel. 31.3
- 30.4°, rel. 25.4
- 25.6°, rel. 22.0
- 56.4°, rel. 18.5
- 45.2°, rel. 14.3
- 47.9°, rel. 14.2
- 59.1°, rel. 13.7
- 57.1°, rel. 12.2

Structural model:
```
14
Lattice="4.3155 2.4916 3.1747 -4.3155 2.4916 3.1747 0.0000 -4.9832 3.1747" Properties=species:S:1:pos:R:3 pbc="T T T"
Hf 0.0000 0.0000 0.0000
Ni 0.0000 0.0000 4.7621
O -0.9233 -1.3184 3.7027
O -0.6801 1.4588 3.7027
O -1.6034 0.1404 5.8215
O 1.6034 -0.1404 3.7027
O 0.6801 -1.4588 5.8215
O 0.9233 1.3184 5.8215
F -3.1348 -1.4075 5.1469
F -0.3485 -3.4186 4.3773
F -2.7864 2.0111 4.3773
F 2.7864 -2.0111 5.1469
F 0.3485 3.4186 5.1469
F 3.1348 1.4075 4.3773
```


Theoretical PXRD pattern of Ti3Fe2Bi6O18 for copper Kα, from a GGA+U-relaxed structure.
Kinematic intensities with the Lorentz-polarization factor, no thermal factor.

Peak list (12 most intense, 10° ≤ 2θ ≤ 80°, by intensity)
- 29.9°, rel. 100.0
- 30.1°, rel. 98.3
- 22.3°, rel. 74.4
- 32.1°, rel. 52.0
- 31.2°, rel. 50.1
- 45.4°, rel. 45.3
- 39.1°, rel. 29.6
- 21.7°, rel. 24.4
- 56.0°, rel. 20.0
- 54.5°, rel. 18.6
- 55.9°, rel. 18.4
- 50.5°, rel. 17.8

Structural model:
```
29
Lattice="2.8707 -2.7862 0.0000 2.8707 2.7862 0.0000 -2.5876 0.0000 24.5332" Properties=species:S:1:pos:R:3 pbc="T T T"
Ti 0.0000 0.0000 0.0000
Ti 0.0742 0.0000 4.0975
Ti 0.1828 0.0000 16.3987
Fe 0.0580 0.0000 8.1331
Fe 0.1195 0.0000 12.2256
Bi 0.8152 0.0000 21.7671
Bi 3.2421 0.0000 1.9881
Bi 3.3041 0.0000 6.3407
Bi 3.4086 0.0000 10.4200
Bi 3.4427 0.0000 14.4465
Bi 3.6185 0.0000 19.2554
O 1.2079 1.4371 4.0762
O -0.2404 0.0000 6.0344
O 1.3062 1.4724 7.9591
O -0.1571 0.0000 10.1126
O 1.3555 1.4825 12.0538
O -0.1235 0.0000 14.1787
O 1.4028 1.4417 16.0524
O 0.0082 0.0000 18.1553
O 1.9215 1.3881 20.4726
O 4.0691 1.3506 0.3118
O 1.2079 -1.4371 4.0762
O 1.3062 -1.4724 7.9591
O 1.3555 -1.4825 12.0538
O 1.4028 -1.4417 16.0524
O 2.9238 0.0000 22.7429
O 4.0691 -1.3506 0.3118
O 1.9215 -1.3881 20.4726
O 5.4327 0.0000 2.1580
```


Theoretical PXRD pattern of Mn2O3 for copper Kα, from a GGA+U-relaxed structure.
Kinematic intensities with the Lorentz-polarization factor, no thermal factor.

Peak list (12 most intense, 10° ≤ 2θ ≤ 80°, by intensity)
- 18.8°, rel. 100.0
- 34.6°, rel. 35.6
- 28.8°, rel. 33.3
- 38.1°, rel. 26.5
- 15.3°, rel. 19.9
- 57.4°, rel. 17.2
- 59.8°, rel. 15.0
- 48.5°, rel. 14.0
- 26.7°, rel. 11.2
- 63.2°, rel. 10.2
- 58.6°, rel. 10.1
- 30.9°, rel. 8.5

Structural model:
```
40
Lattice="-5.7907 5.7907 5.7907 5.7907 -5.7907 5.7907 5.7907 5.7907 -5.7907" Properties=species:S:1:pos:R:3 pbc="T T T"
Mn 2.7694 3.0213 8.5600
Mn 8.6860 1.3768 0.0000
Mn 5.7907 -2.8953 4.4584
Mn 4.4584 5.7907 -2.8953
Mn 4.4138 0.0000 2.8953
Mn 5.7907 2.8953 1.3323
Mn 2.8953 4.4138 0.0000
Mn 2.7694 8.5600 -2.7694
Mn 3.0213 3.0213 3.0213
Mn 2.8953 1.3323 5.7907
Mn 0.0000 2.8953 4.4138
Mn 1.3323 5.7907 2.8953
Mn 1.3768 0.0000 8.6860
Mn 0.0000 8.6860 1.3768
Mn -2.8953 4.4584 5.7907
Mn 3.0213 8.5600 2.7694
O 3.9191 -0.4174 1.1132
O 5.3732 4.6775 -3.9191
O 4.6114 -1.9454 3.2843
O 4.6775 -3.9191 5.3732
O 6.9039 1.8716 0.4174
O 3.2843 4.6114 -1.9454
O 9.0749 1.1793 1.9454
O 1.1132 3.9191 -0.4174
O 4.6775 3.9191 0.4174
O 4.6114 1.9454 2.5064
O -0.4174 1.1132 3.9191
O 3.9191 0.4174 4.6775
O 6.9700 3.8453 2.5064
O 2.5064 4.6114 1.9454
O 1.9454 2.5064 4.6114
O 1.8716 0.4174 6.9039
O -1.9454 3.2843 4.6114
O 0.4174 4.6775 3.9191
O 0.4174 6.9039 1.8716
O 3.8453 2.5064 6.9700
O -3.9191 5.3732 4.6775
O 1.9454 9.0749 1.1793
O 2.5064 6.9700 3.8453
O 1.1793 1.9454 9.0749
```


Theoretical PXRD pattern of RbVH6SeO9 for copper Kα, from a GGA+U-relaxed structure.
Kinematic intensities with the Lorentz-polarization factor, no thermal factor.

Peak list (12 most intense, 10° ≤ 2θ ≤ 80°, by intensity)
- 16.1°, rel. 100.0
- 29.5°, rel. 98.7
- 17.3°, rel. 89.7
- 29.3°, rel. 70.3
- 27.9°, rel. 57.4
- 24.5°, rel. 51.6
- 28.6°, rel. 35.4
- 37.5°, rel. 33.5
- 30.4°, rel. 32.3
- 27.3°, rel. 29.4
- 39.3°, rel. 29.0
- 16.9°, rel. 28.3

Structural model:
```
36
Lattice="6.4739 0.0000 0.0000 0.0000 10.2309 0.0000 -2.2231 0.0000 6.5431" Properties=species:S:1:pos:R:3 pbc="T T T"
Rb 0.8046 0.0000 1.1799
Rb 3.4462 5.1154 5.3633
V -0.0939 3.5379 2.5873
V 4.3447 8.6533 3.9558
H -1.2786 1.1031 4.2759
H 0.6000 6.2232 1.7787
H 0.2518 5.6523 4.5219
H 0.2018 4.3285 5.3460
H 2.1730 7.1600 0.4941
H 1.5434 2.1125 4.5862
H 2.7074 7.2279 1.9570
H 2.0778 2.0445 6.0490
H 4.0490 9.4439 1.1971
H 3.9990 0.5369 2.0212
H 3.6508 1.1078 4.7645
H 5.5294 6.2185 2.2673
Se 1.1120 8.6617 4.7876
Se 3.1388 3.5463 1.7555
O -0.0993 2.9695 1.0330
O -0.2258 5.6565 1.8734
O -0.1694 9.0233 3.7225
O 0.0076 2.1451 3.5365
O -0.1424 4.7403 4.5130
O 1.8766 7.2764 1.4189
O 1.8463 4.0828 2.7269
O 1.1667 7.0366 5.1066
O 1.0146 9.5488 6.1726
O 3.2362 4.4333 0.3705
O 3.0841 1.9211 1.4365
O 2.4045 9.1982 3.8162
O 2.3742 2.1610 5.1242
O 4.3932 9.8557 2.0302
O 4.2432 7.2606 3.0066
O 4.4202 3.9078 2.8206
O 4.4766 0.5410 4.6697
O 4.3501 8.0850 5.5101
```


Theoretical PXRD pattern of CaCo6O2F10 for copper Kα, from a GGA+U-relaxed structure.
Kinematic intensities with the Lorentz-polarization factor, no thermal factor.

Peak list (12 most intense, 10° ≤ 2θ ≤ 80°, by intensity)
- 26.1°, rel. 100.0
- 24.3°, rel. 52.2
- 49.7°, rel. 46.3
- 27.6°, rel. 41.8
- 38.8°, rel. 37.5
- 26.0°, rel. 37.1
- 38.2°, rel. 31.5
- 33.3°, rel. 31.4
- 49.3°, rel. 30.7
- 57.4°, rel. 27.4
- 33.5°, rel. 27.4
- 53.6°, rel. 24.8

Structural model:
```
19
Lattice="4.8860 0.0000 0.0000 -0.3583 5.1378 0.0000 -0.0522 -0.1420 9.6237" Properties=species:S:1:pos:R:3 pbc="T T T"
Ca 0.0000 0.0000 0.0000
Co 0.0504 2.6062 7.7240
Co 0.1289 2.5028 4.6187
Co 2.1388 4.8955 3.1922
Co 2.3531 2.2875 0.0287
Co 2.7412 -0.0499 6.2287
Co 4.6749 2.6221 1.8352
O 0.8803 3.4538 3.0954
O 4.1955 1.9863 9.5441
F 1.0536 3.5017 6.2262
F 1.3128 3.7094 9.0637
F 1.5779 1.0190 1.3712
F 1.5470 1.1069 8.0038
F 1.5975 0.8624 4.7834
F 3.2139 4.0651 1.5104
F 3.3276 4.0850 4.7240
F 3.6256 4.2336 7.6799
F 3.9030 1.3111 3.1371
F 4.0051 1.5905 6.2283
```


Theoretical PXRD pattern of Cr3P2O8 for copper Kα, from a GGA+U-relaxed structure.
Kinematic intensities with the Lorentz-polarization factor, no thermal factor.

Peak list (12 most intense, 10° ≤ 2θ ≤ 80°, by intensity)
- 31.6°, rel. 100.0
- 28.8°, rel. 99.7
- 27.6°, rel. 70.4
- 39.1°, rel. 63.4
- 25.2°, rel. 54.4
- 28.6°, rel. 34.7
- 29.1°, rel. 32.6
- 33.8°, rel. 31.7
- 16.0°, rel. 25.5
- 48.3°, rel. 19.8
- 42.8°, rel. 19.6
- 20.6°, rel. 19.0

Structural model:
```
26
Lattice="4.7263 0.0000 0.0000 0.0000 10.6223 0.0000 -4.5499 0.0000 6.4732" Properties=species:S:1:pos:R:3 pbc="T T T"
Cr 0.0000 0.0000 0.0000
Cr -2.2749 5.3111 3.2366
Cr -1.7610 1.4353 3.7228
Cr 0.5139 3.8758 0.4862
Cr -0.3374 6.7465 5.9870
Cr 1.9375 9.1870 2.7504
P -0.1709 7.2082 2.7334
P -2.4458 8.7252 5.9700
P 2.6223 1.8971 0.5032
P 0.3473 3.4141 3.7398
O -0.7018 6.4158 1.5083
O -2.9768 9.5176 4.7449
O -2.8476 7.2299 5.9676
O -0.5727 8.7036 2.7310
O 1.0786 1.7718 0.4013
O -1.1963 3.5394 3.6379
O -0.7791 6.4913 3.9934
O 1.4958 9.4422 0.7568
O -1.3194 1.1801 5.7164
O 0.9555 4.1310 2.4798
O 1.3728 7.0829 2.8353
O -0.9022 8.8505 6.0719
O 0.7491 1.9187 3.7422
O 3.0240 3.3924 0.5056
O 3.1532 1.1047 1.7283
O 0.8783 4.2065 4.9649
```


Theoretical PXRD pattern of CaVP2O7 for copper Kα, from a GGA+U-relaxed structure.
Kinematic intensities with the Lorentz-polarization factor, no thermal factor.

Peak list (12 most intense, 10° ≤ 2θ ≤ 80°, by intensity)
- 29.1°, rel. 100.0
- 29.7°, rel. 65.1
- 30.5°, rel. 57.8
- 27.1°, rel. 57.3
- 28.8°, rel. 38.0
- 28.4°, rel. 30.0
- 28.6°, rel. 27.6
- 19.4°, rel. 20.6
- 43.9°, rel. 19.8
- 32.9°, rel. 16.8
- 25.1°, rel. 16.3
- 55.6°, rel. 14.5

Structural model:
```
22
Lattice="6.3160 0.0000 0.0000 2.4851 6.2348 0.0000 0.1727 0.8262 7.0993" Properties=species:S:1:pos:R:3 pbc="T T T"
Ca 2.0180 2.1055 2.5880
Ca 6.9558 4.9555 4.5112
V 3.8367 6.0849 5.7705
V 5.1371 0.9761 1.3287
P 3.6741 5.1732 2.6918
P 3.0758 2.8565 6.2337
P 5.8980 4.2045 0.8656
P 5.2997 1.8878 4.4074
O 3.2140 6.4321 1.9244
O 2.5304 4.2989 3.1784
O 2.5946 4.2999 6.0377
O 2.1880 1.8094 5.5912
O 4.6423 5.6080 3.8150
O 3.2677 1.7389 0.6005
O 4.4520 4.2470 1.6438
O 4.5218 2.8140 5.4555
O 5.7061 5.3221 6.4988
O 4.3315 1.4530 3.2843
O 6.7858 5.2516 1.5081
O 6.3792 2.7611 1.0616
O 6.4434 2.7621 3.9209
O 5.7598 0.6289 5.1749
```


Theoretical PXRD pattern of MgFeP2O7 for copper Kα, from a GGA+U-relaxed structure.
Kinematic intensities with the Lorentz-polarization factor, no thermal factor.

Peak list (12 most intense, 10° ≤ 2θ ≤ 80°, by intensity)
- 29.4°, rel. 100.0
- 29.8°, rel. 99.1
- 29.1°, rel. 79.5
- 28.9°, rel. 47.6
- 33.8°, rel. 39.6
- 20.8°, rel. 22.2
- 57.1°, rel. 19.9
- 41.6°, rel. 19.2
- 57.8°, rel. 18.0
- 42.8°, rel. 16.7
- 55.2°, rel. 14.7
- 55.9°, rel. 14.0

Structural model:
```
22
Lattice="5.5832 0.0000 0.0000 1.9880 6.1229 0.0000 0.4244 0.9063 7.3487" Properties=species:S:1:pos:R:3 pbc="T T T"
Mg 1.7763 2.4175 2.5587
Mg 6.2194 4.6117 4.7900
Fe 3.3651 5.8787 5.8796
Fe 4.6306 1.1505 1.4691
P 3.2944 5.2518 2.8413
P 2.7470 2.7643 6.6608
P 5.2487 4.2649 0.6880
P 4.7012 1.7773 4.5074
O 2.0930 4.3572 3.1706
O 0.9062 0.5492 2.4233
O 2.2455 4.1097 6.0922
O 1.7573 1.6303 6.4830
O 2.8322 2.0031 0.7542
O 3.9039 4.5845 1.5194
O 4.3329 5.2615 3.9800
O 3.6628 1.7677 3.3688
O 4.0917 2.4447 5.8294
O 5.1635 5.0261 6.5945
O 6.2384 5.3989 0.8657
O 5.7502 2.9195 1.2566
O 7.0895 6.4800 4.9254
O 5.9027 2.6719 4.1782
```